[1]
Starting from the PBE geometry in Alexandria, the PXRD pattern of Cs2NaTeS4 was calculated for Cu Kα, 1.54184 Å.
No peak broadening, texture or thermal motion is included.

Structure:
Cell lengths 6.583, 14.615, 25.582 Å; angles 90.00, 90.00, 90.00 degrees
Space group Fddd (No. 70, origin choice 2)
Unique sites:
Cs 0.125 0.125 0.306 [16 per cell]
Na 0.125 0.125 0.125 [8 per cell]
Te 0.125 0.125 0.625 [8 per cell]
S 0.091 0.273 0.823 [32 per cell]

Main lines, low angle first (2θ = 5–70°):
- 18.1 deg, I 93, hkl 1 1 3
- 24.2 deg, I 70, hkl 0 2 6
- 25.0 deg, I 100, hkl 1 3 3
- 29.8 deg, I 44, hkl 2 2 0
- 34.4 deg, I 37, hkl 2 0 6
- 42.6 deg, I 27, hkl 2 4 6

[2]
Starting from the PBE geometry in Alexandria, the PXRD pattern of NaAlTe was calculated for Cu Kα, 1.54184 Å.
No peak broadening, texture or thermal motion is included.

Structure:
Cell lengths 4.476, 16.135, 4.617 Å; angles 90.00, 90.00, 90.00 degrees
Space group C222_1 (No. 20)
Unique sites:
Na 0.000 0.179 0.250 [4 per cell]
Al 0.132 0.000 0.000 [4 per cell]
Te 0.000 0.377 0.250 [4 per cell]

Main lines, low angle first (2θ = 5–70°):
- 22.0 deg, I 39, hkl 0 4 0
- 22.2 deg, I 82, hkl 0 2 1
- 28.3 deg, I 100, hkl 1 1 1
- 32.5 deg, I 44, hkl 1 3 1
- 34.3 deg, I 42, hkl 1 5 0
- 46.4 deg, I 42, hkl 2 4 0